This entry pairs a crystal structure of Ba3CdAu2O6 with its theoretical powder XRD pattern. Radiation: Cu Kα. Structure: a cell relaxed with GGA-PBE.
Lines closer than 0.1° are merged.

Structure:
```
data_Ba3CdAu2O6
_chemical_formula_sum 'Ba3 Cd1 Au2 O6'
_cell_length_a 6.1655
_cell_length_b 6.1655
_cell_length_c 6.8817
_cell_angle_alpha 90.00
_cell_angle_beta 90.00
_cell_angle_gamma 120.00
_space_group_name_H-M_alt 'P -3 m 1'
_space_group_IT_number 164
_space_group_name_Hall '-P 3 2"'
loop_
_atom_site_label
_atom_site_fract_x
_atom_site_fract_y
_atom_site_fract_z
_atom_site_occupancy
Ba1 0.0000 0.0000 0.0000 1
Ba2 0.3333 0.6667 0.6266 1
Cd1 0.0000 0.0000 0.5000 1
Au1 0.3333 0.6667 0.1300 1
O1 0.1671 0.3343 0.3080 1
```

Largest 8 diffraction maxima, by angle, 2θ = 10–90°:
- d = 3.083 Å, intensity 100.0, hkl 1 1 0
- d = 2.892 Å, intensity 81.3, hkl 0 1 2
- d = 2.109 Å, intensity 44.5, hkl 2 0 2
- d = 1.780 Å, intensity 20.7, hkl 3 0 0
- d = 1.741 Å, intensity 37.7, hkl 1 2 2
- d = 1.638 Å, intensity 13.6, hkl 1 0 4
- d = 1.541 Å, intensity 16.3, hkl 2 2 0
- d = 1.360 Å, intensity 16.7, hkl 3 1 2


This entry pairs a crystal structure of Ba2CdAuO4 with its theoretical powder XRD pattern. Radiation: Cu Kα. Structure: a cell relaxed with GGA-PBE.
Lines closer than 0.1° are merged.

Structure:
```
data_Ba2CdAuO4
_chemical_formula_sum 'Ba4 Cd2 Au2 O8'
_cell_length_a 6.5214
_cell_length_b 6.5214
_cell_length_c 6.9884
_cell_angle_alpha 90.00
_cell_angle_beta 90.00
_cell_angle_gamma 90.00
_space_group_name_H-M_alt 'I -4'
_space_group_IT_number 82
_space_group_name_Hall 'I -4'
loop_
_atom_site_label
_atom_site_fract_x
_atom_site_fract_y
_atom_site_fract_z
_atom_site_occupancy
Ba1 0.0000 0.0000 0.0000 1
Ba2 0.0000 0.5000 0.2500 1
Cd1 0.0000 0.0000 0.5000 1
Au1 0.0000 0.5000 0.7500 1
O1 0.1744 0.2165 0.6936 1
```

Largest 8 diffraction maxima, by angle, 2θ = 10–90°:
- d = 3.261 Å, intensity 63.2, hkl 2 0 0
- d = 2.785 Å, intensity 100.0, hkl 1 1 2
- d = 2.306 Å, intensity 33.4, hkl 2 2 0
- d = 1.776 Å, intensity 55.3, hkl 3 1 2
- d = 1.540 Å, intensity 16.4, hkl 2 0 4
- d = 1.458 Å, intensity 13.8, hkl 2 4 0
- d = 1.201 Å, intensity 14.5, hkl 1 5 2
- d = 1.120 Å, intensity 12.4, hkl 4 2 4


This entry pairs a crystal structure of BaCdPb2Au2 with its theoretical powder XRD pattern. Radiation: Cu Kα. Structure: a cell relaxed with GGA-PBE.
Lines closer than 0.1° are merged.

Structure:
```
data_BaCdPb2Au2
_chemical_formula_sum 'Ba2 Cd2 Pb4 Au4'
_cell_length_a 5.7375
_cell_length_b 5.7375
_cell_length_c 12.2459
_cell_angle_alpha 90.00
_cell_angle_beta 90.00
_cell_angle_gamma 90.00
_space_group_name_H-M_alt 'I 4/m m m'
_space_group_IT_number 139
_space_group_name_Hall '-I 4 2'
loop_
_atom_site_label
_atom_site_fract_x
_atom_site_fract_y
_atom_site_fract_z
_atom_site_occupancy
Ba1 0.0000 0.0000 0.0000 1
Cd1 0.0000 0.0000 0.5000 1
Pb1 0.0000 0.5000 0.2500 1
Au1 0.0000 0.0000 0.2811 1
```

Largest 8 diffraction maxima, by angle, 2θ = 10–90°:
- d = 6.123 Å, intensity 73.3, hkl 0 0 2
- d = 3.382 Å, intensity 23.4, hkl 1 1 2
- d = 3.061 Å, intensity 47.0, hkl 0 0 4
- d = 2.869 Å, intensity 100.0, hkl 2 0 0
- d = 2.598 Å, intensity 38.8, hkl 2 0 2
- d = 2.093 Å, intensity 65.6, hkl 2 0 4
- d = 2.029 Å, intensity 37.6, hkl 2 2 0
- d = 1.691 Å, intensity 33.8, hkl 2 2 4


This entry pairs a crystal structure of Ba3Cd2Pb2Au4 with its theoretical powder XRD pattern. Radiation: Cu Kα. Structure: a cell relaxed with GGA-PBE.
Lines closer than 0.1° are merged.

Structure:
```
data_Ba3Cd2Pb2Au4
_chemical_formula_sum 'Ba3 Cd2 Pb2 Au4'
_cell_length_a 4.9751
_cell_length_b 4.9751
_cell_length_c 16.2172
_cell_angle_alpha 90.00
_cell_angle_beta 90.00
_cell_angle_gamma 120.00
_space_group_name_H-M_alt 'P -3 m 1'
_space_group_IT_number 164
_space_group_name_Hall '-P 3 2"'
loop_
_atom_site_label
_atom_site_fract_x
_atom_site_fract_y
_atom_site_fract_z
_atom_site_occupancy
Ba1 0.0000 0.0000 0.0000 1
Ba2 0.0000 0.0000 0.2702 1
Cd1 0.3333 0.6667 0.1351 1
Pb1 0.3333 0.6667 0.5718 1
Au1 0.3333 0.6667 0.3895 1
Au2 0.3333 0.6667 0.8705 1
```

Largest 8 diffraction maxima, by angle, 2θ = 10–90°:
- d = 3.805 Å, intensity 19.4, hkl 0 1 2
- d = 3.369 Å, intensity 27.4, hkl 1 0 3
- d = 2.953 Å, intensity 82.0, hkl 0 1 4
- d = 2.488 Å, intensity 100.0, hkl 1 1 0
- d = 2.120 Å, intensity 19.8, hkl 1 1 4
- d = 1.902 Å, intensity 23.2, hkl 2 0 4
- d = 1.695 Å, intensity 28.5, hkl 1 1 7
- d = 1.511 Å, intensity 22.1, hkl 1 2 4


This entry pairs a crystal structure of BaCdPtAu with its theoretical powder XRD pattern. Radiation: Cu Kα. Structure: a cell relaxed with GGA-PBE.
Lines closer than 0.1° are merged.

Structure:
```
data_BaCdPtAu
_chemical_formula_sum 'Ba2 Cd2 Pt2 Au2'
_cell_length_a 8.2647
_cell_length_b 4.7776
_cell_length_c 6.1413
_cell_angle_alpha 90.00
_cell_angle_beta 116.78
_cell_angle_gamma 90.00
_space_group_name_H-M_alt 'C 1 m 1'
_space_group_IT_number 8
_space_group_name_Hall 'C -2y'
loop_
_atom_site_label
_atom_site_fract_x
_atom_site_fract_y
_atom_site_fract_z
_atom_site_occupancy
Ba1 0.0000 0.0000 0.0000 1
Cd1 0.0119 0.5000 0.5358 1
Pt1 0.1996 0.0000 0.5993 1
Au1 0.2968 0.5000 0.3908 1
```

Largest 8 diffraction maxima, by angle, 2θ = 10–90°:
- d = 5.483 Å, intensity 54.2, hkl 0 0 1
- d = 2.916 Å, intensity 60.9, hkl 1 1 1
- d = 2.574 Å, intensity 53.4, hkl 2 0 1
- d = 2.387 Å, intensity 100.0, hkl 0 2 0
- d = 2.189 Å, intensity 32.5, hkl 3 1 0
- d = 1.750 Å, intensity 17.2, hkl 2 2 1
- d = 1.528 Å, intensity 22.5, hkl 1 1 3
- d = 1.378 Å, intensity 17.7, hkl 6 0 -2


This entry pairs a crystal structure of Ba6Cd2RhAu with its theoretical powder XRD pattern. Radiation: Cu Kα. Structure: a cell relaxed with GGA-PBE.
Lines closer than 0.1° are merged.

Structure:
```
data_Ba6Cd2RhAu
_chemical_formula_sum 'Ba12 Cd4 Rh2 Au2'
_cell_length_a 8.1088
_cell_length_b 9.0316
_cell_length_c 14.4710
_cell_angle_alpha 90.00
_cell_angle_beta 123.31
_cell_angle_gamma 90.00
_space_group_name_H-M_alt 'P 1 21/c 1'
_space_group_IT_number 14
_space_group_name_Hall '-P 2ybc'
loop_
_atom_site_label
_atom_site_fract_x
_atom_site_fract_y
_atom_site_fract_z
_atom_site_occupancy
Ba1 0.1202 0.0258 0.2412 1
Ba2 0.2216 0.6964 0.0563 1
Ba3 0.3716 0.1743 0.0558 1
Cd1 0.2988 0.1057 0.7500 1
Rh1 0.0000 0.0000 0.0000 1
Au1 0.5000 0.0000 0.5000 1
```

Largest 8 diffraction maxima, by angle, 2θ = 10–90°:
- d = 6.037 Å, intensity 54.3, hkl 1 1 -1
- d = 3.745 Å, intensity 41.6, hkl 1 2 -2
- d = 3.626 Å, intensity 61.7, hkl 1 0 2
- d = 3.525 Å, intensity 63.3, hkl 2 1 -3
- d = 3.020 Å, intensity 100.0, hkl 0 0 4
- d = 2.822 Å, intensity 72.2, hkl 1 3 -1
- d = 2.391 Å, intensity 46.0, hkl 3 1 -1
- d = 2.067 Å, intensity 36.0, hkl 1 3 3


This entry pairs a crystal structure of BaCdSiAu6 with its theoretical powder XRD pattern. Radiation: Cu Kα. Structure: a cell relaxed with GGA-PBE.
Lines closer than 0.1° are merged.

Structure:
```
data_BaCdSiAu6
_chemical_formula_sum 'Ba4 Cd4 Si4 Au24'
_cell_length_a 8.7280
_cell_length_b 9.1809
_cell_length_c 12.4017
_cell_angle_alpha 90.00
_cell_angle_beta 90.00
_cell_angle_gamma 90.00
_space_group_name_H-M_alt 'I m m a'
_space_group_IT_number 74
_space_group_name_Hall '-I 2b 2'
loop_
_atom_site_label
_atom_site_fract_x
_atom_site_fract_y
_atom_site_fract_z
_atom_site_occupancy
Ba1 0.0000 0.2500 0.1490 1
Cd1 0.2500 0.2500 0.7500 1
Si1 0.0000 0.0000 0.5000 1
Au1 0.0000 0.2500 0.4410 1
Au2 0.0000 0.2500 0.8879 1
Au3 0.1781 0.0174 0.3466 1
```

Largest 8 diffraction maxima, by angle, 2θ = 10–90°:
- d = 3.569 Å, intensity 37.9, hkl 2 0 2
- d = 3.163 Å, intensity 100.0, hkl 2 2 0
- d = 3.100 Å, intensity 34.4, hkl 0 0 4
- d = 2.898 Å, intensity 80.6, hkl 1 2 3
- d = 2.379 Å, intensity 75.1, hkl 3 0 3
- d = 2.295 Å, intensity 54.8, hkl 0 4 0
- d = 2.214 Å, intensity 62.7, hkl 2 2 4
- d = 1.652 Å, intensity 48.0, hkl 3 4 3


This entry pairs a crystal structure of BaTlCd2Au with its theoretical powder XRD pattern. Radiation: Cu Kα. Structure: a cell relaxed with GGA-PBE.
Lines closer than 0.1° are merged.

Structure:
```
data_BaTlCd2Au
_chemical_formula_sum 'Ba2 Tl2 Cd4 Au2'
_cell_length_a 4.6731
_cell_length_b 4.8181
_cell_length_c 12.9110
_cell_angle_alpha 90.00
_cell_angle_beta 90.00
_cell_angle_gamma 90.00
_space_group_name_H-M_alt 'I m m 2'
_space_group_IT_number 44
_space_group_name_Hall 'I 2 -2'
loop_
_atom_site_label
_atom_site_fract_x
_atom_site_fract_y
_atom_site_fract_z
_atom_site_occupancy
Ba1 0.0000 0.0000 0.0000 1
Tl1 0.0000 0.5000 0.7612 1
Cd1 0.0000 0.0000 0.6184 1
Cd2 0.0000 0.5000 0.2665 1
Au1 0.0000 0.0000 0.4028 1
```

Largest 8 diffraction maxima, by angle, 2θ = 10–90°:
- d = 3.166 Å, intensity 20.7, hkl 1 0 3
- d = 2.977 Å, intensity 100.0, hkl 1 1 2
- d = 2.409 Å, intensity 29.9, hkl 0 2 0
- d = 2.337 Å, intensity 27.4, hkl 2 0 0
- d = 2.326 Å, intensity 43.2, hkl 1 1 4
- d = 2.276 Å, intensity 17.5, hkl 0 1 5
- d = 2.260 Å, intensity 18.8, hkl 1 0 5
- d = 1.677 Å, intensity 19.7, hkl 2 2 0


This entry pairs a crystal structure of BaTmCd2Au4 with its theoretical powder XRD pattern. Radiation: Cu Kα. Structure: a cell relaxed with GGA-PBE.
Lines closer than 0.1° are merged.

Structure:
```
data_BaTmCd2Au4
_chemical_formula_sum 'Ba3 Tm3 Cd6 Au12'
_cell_length_a 4.8641
_cell_length_b 4.8641
_cell_length_c 28.6855
_cell_angle_alpha 90.00
_cell_angle_beta 90.00
_cell_angle_gamma 120.00
_space_group_name_H-M_alt 'R -3 m'
_space_group_IT_number 166
_space_group_name_Hall '-R 3 2"'
loop_
_atom_site_label
_atom_site_fract_x
_atom_site_fract_y
_atom_site_fract_z
_atom_site_occupancy
Ba1 0.0000 0.0000 0.0000 1
Tm1 0.0000 0.0000 0.5000 1
Cd1 0.0000 0.0000 0.2382 1
Au1 0.0000 0.0000 0.1290 1
Au2 0.0000 0.0000 0.4000 1
```

Largest 8 diffraction maxima, by angle, 2θ = 10–90°:
- d = 2.730 Å, intensity 78.8, hkl 0 1 8
- d = 2.432 Å, intensity 100.0, hkl 1 1 0
- d = 2.217 Å, intensity 33.4, hkl 0 1 11
- d = 1.816 Å, intensity 23.8, hkl 2 0 8
- d = 1.639 Å, intensity 13.1, hkl 2 0 11
- d = 1.455 Å, intensity 23.0, hkl 1 2 8
- d = 1.404 Å, intensity 17.9, hkl 3 0 0
- d = 1.359 Å, intensity 15.3, hkl 1 2 11


This entry pairs a crystal structure of BaZnCd2Au with its theoretical powder XRD pattern. Radiation: Cu Kα. Structure: a cell relaxed with GGA-PBE.
Lines closer than 0.1° are merged.

Structure:
```
data_BaZnCd2Au
_chemical_formula_sum 'Ba2 Zn2 Cd4 Au2'
_cell_length_a 4.6156
_cell_length_b 4.6200
_cell_length_c 12.4649
_cell_angle_alpha 90.00
_cell_angle_beta 90.00
_cell_angle_gamma 90.00
_space_group_name_H-M_alt 'I m m 2'
_space_group_IT_number 44
_space_group_name_Hall 'I 2 -2'
loop_
_atom_site_label
_atom_site_fract_x
_atom_site_fract_y
_atom_site_fract_z
_atom_site_occupancy
Ba1 0.0000 0.0000 0.0000 1
Zn1 0.0000 0.5000 0.7321 1
Cd1 0.0000 0.0000 0.3758 1
Cd2 0.0000 0.5000 0.2396 1
Au1 0.0000 0.0000 0.6062 1
```

Largest 8 diffraction maxima, by angle, 2θ = 10–90°:
- d = 3.265 Å, intensity 33.7, hkl 1 1 0
- d = 3.089 Å, intensity 86.9, hkl 1 0 3
- d = 2.892 Å, intensity 100.0, hkl 1 1 2
- d = 2.309 Å, intensity 79.1, hkl 2 0 0
- d = 2.254 Å, intensity 50.0, hkl 1 1 4
- d = 2.194 Å, intensity 58.7, hkl 0 1 5
- d = 1.849 Å, intensity 39.7, hkl 1 2 3
- d = 1.590 Å, intensity 42.5, hkl 2 1 5


This entry pairs a crystal structure of Ba2ZnCd2Au4 with its theoretical powder XRD pattern. Radiation: Cu Kα. Structure: a cell relaxed with GGA-PBE.
Lines closer than 0.1° are merged.

Structure:
```
data_Ba2ZnCd2Au4
_chemical_formula_sum 'Ba4 Zn2 Cd4 Au8'
_cell_length_a 7.2981
_cell_length_b 7.2981
_cell_length_c 8.9032
_cell_angle_alpha 90.00
_cell_angle_beta 90.00
_cell_angle_gamma 90.00
_space_group_name_H-M_alt 'I 4/m m m'
_space_group_IT_number 139
_space_group_name_Hall '-I 4 2'
loop_
_atom_site_label
_atom_site_fract_x
_atom_site_fract_y
_atom_site_fract_z
_atom_site_occupancy
Ba1 0.0000 0.5000 0.2500 1
Zn1 0.0000 0.0000 0.0000 1
Cd1 0.0000 0.0000 0.3257 1
Au1 0.2451 0.2451 0.5000 1
```

Largest 8 diffraction maxima, by angle, 2θ = 10–90°:
- d = 4.452 Å, intensity 13.0, hkl 0 0 2
- d = 2.822 Å, intensity 100.0, hkl 2 0 2
- d = 2.580 Å, intensity 57.8, hkl 2 2 0
- d = 2.226 Å, intensity 11.5, hkl 0 0 4
- d = 1.825 Å, intensity 20.5, hkl 4 0 0
- d = 1.686 Å, intensity 23.4, hkl 2 2 4
- d = 1.532 Å, intensity 31.8, hkl 4 2 2
- d = 1.411 Å, intensity 10.8, hkl 4 0 4


This entry pairs a crystal structure of BaCeAu4 with its theoretical powder XRD pattern. Radiation: Cu Kα. Structure: a cell relaxed with GGA-PBE.
Lines closer than 0.1° are merged.

Structure:
```
data_BaCeAu4
_chemical_formula_sum 'Ba2 Ce2 Au8'
_cell_length_a 4.2622
_cell_length_b 4.2622
_cell_length_c 18.0998
_cell_angle_alpha 90.00
_cell_angle_beta 90.00
_cell_angle_gamma 90.00
_space_group_name_H-M_alt 'I -4 m 2'
_space_group_IT_number 119
_space_group_name_Hall 'I -4 -2'
loop_
_atom_site_label
_atom_site_fract_x
_atom_site_fract_y
_atom_site_fract_z
_atom_site_occupancy
Ba1 0.0000 0.0000 0.0000 1
Ce1 0.0000 0.5000 0.2500 1
Au1 0.0000 0.0000 0.4213 1
Au2 0.0000 0.5000 0.6749 1
```

Largest 8 diffraction maxima, by angle, 2θ = 10–90°:
- d = 4.149 Å, intensity 43.7, hkl 1 0 1
- d = 2.859 Å, intensity 100.0, hkl 1 1 2
- d = 2.759 Å, intensity 65.0, hkl 1 0 5
- d = 2.211 Å, intensity 50.7, hkl 1 0 7
- d = 2.131 Å, intensity 69.0, hkl 2 0 0
- d = 1.687 Å, intensity 30.4, hkl 2 1 5
- d = 1.534 Å, intensity 33.0, hkl 2 1 7
- d = 1.507 Å, intensity 22.6, hkl 2 2 0